(1)
Computed powder diffractogram
Compound: Ho8ZnPd2
Radiation: copper Kα
Structure: a structure optimized by DFT (PBE)
Neutral-atom scattering factors, no anomalous dispersion.

Atomic structure:
Lattice parameters (Å, degrees): 9.1323 9.1323 6.7696 105.70 105.70 32.24
Element x y z (fractional)
Ho: 0.0325 0.0325 0.2801
Ho: 0.1999 0.1999 0.8233
Ho: 0.3292 0.3292 0.5194
Ho: 0.4072 0.4072 0.0367
Ho: 0.5928 0.5928 0.9633
Ho: 0.6708 0.6708 0.4806
Ho: 0.8001 0.8001 0.1767
Ho: 0.9675 0.9675 0.7199
Zn: 0.5000 0.5000 0.5000
Pd: 0.1837 0.1837 0.2222
Pd: 0.8163 0.8163 0.7778

Largest 6 diffraction maxima, in order of rising 2θ, 2θ from 10° to 80°:
Position (°2θ)  I_rel
29.61  53
31.64  57
31.89  100
32.85  21
34.45  38
35.40  61

***

(2)
Computed powder diffractogram
Compound: Ho2Zn2Pd
Radiation: copper Kα
Structure: a structure optimized by DFT (PBE)
Neutral-atom scattering factors, no anomalous dispersion.

Atomic structure:
Lattice parameters (Å, degrees): 7.0107 7.0107 8.5060 90.00 90.00 90.00
Element x y z (fractional)
Ho: 0.1748 0.3247 0.0000
Ho: 0.1753 0.3252 0.5000
Ho: 0.3247 0.8252 0.0000
Ho: 0.3252 0.8247 0.5000
Ho: 0.6753 0.1748 0.0000
Ho: 0.6748 0.1753 0.5000
Ho: 0.8252 0.6753 0.0000
Ho: 0.8247 0.6748 0.5000
Zn: 0.1277 0.6277 0.2500
Zn: 0.1277 0.6277 0.7500
Zn: 0.3723 0.1277 0.2500
Zn: 0.3723 0.1277 0.7500
Zn: 0.6277 0.8723 0.2500
Zn: 0.6277 0.8723 0.7500
Zn: 0.8723 0.3723 0.2500
Zn: 0.8723 0.3723 0.7500
Pd: 0.0000 0.0000 0.2486
Pd: 0.0000 0.0000 0.7514
Pd: 0.5000 0.5000 0.2514
Pd: 0.5000 0.5000 0.7486

Largest 6 diffraction maxima, in order of rising 2θ, 2θ from 10° to 80°:
Position (°2θ)  I_rel
33.12  46
35.57  100
40.70  32
42.51  22
58.46  17
60.31  20

***

(3)
Computed powder diffractogram
Compound: HoZn3Pd
Radiation: copper Kα
Structure: a structure optimized by DFT (PBE)
Neutral-atom scattering factors, no anomalous dispersion.

Atomic structure:
Lattice parameters (Å, degrees): 11.5024 11.5024 11.5024 156.93 156.93 32.85
Element x y z (fractional)
Ho: 0.0000 0.0000 0.0000
Ho: 0.7500 0.2500 0.5000
Zn: 0.0951 0.5951 0.5000
Zn: 0.3754 0.1243 0.2511
Zn: 0.4049 0.9049 0.5000
Zn: 0.8732 0.1243 0.7489
Zn: 0.8757 0.1268 0.2511
Zn: 0.8757 0.6246 0.7489
Pd: 0.3389 0.3389 0.0000
Pd: 0.6611 0.6611 0.0000

Largest 6 diffraction maxima, in order of rising 2θ, 2θ from 10° to 80°:
Position (°2θ)  I_rel
19.72  61
22.80  92
36.89  100
39.17  45
41.75  58
45.80  95